Record 1
# DyBiAu2
Simulated X-ray powder pattern, Cu Ka. Input: a DFT-relaxed cell (GGA-PBE, OQMD).
Neutral-atom scattering factors, no anomalous dispersion.

Cell and atoms:
a b c (Å): 4.578 5.883 5.883
angles (deg): 37.58 90.00 90.00
Fractional positions:
Dy 0.000 0.000 0.000
Bi 0.500 0.293 0.293
Au 0.000 0.719 0.719
Au 0.500 0.560 0.560

Most intense lines, 15° ≤ 2θ ≤ 90°, sorted by position:
2θ (°)  d_spacing  I (rel.)
31.69  2.824  100
32.14  2.785  24
33.80  2.652  24
37.81  2.379  41
39.26  2.295  67
39.37  2.289  35
48.02  1.895  20
62.68  1.482  19
63.77  1.460  17
77.24  1.235  18



Record 2
# PrDyBi4Au2
Simulated X-ray powder pattern, Cu Ka. Input: a DFT-relaxed cell (GGA-PBE, OQMD).
Neutral-atom scattering factors, no anomalous dispersion.

Cell and atoms:
a b c (Å): 4.649 4.649 9.940
angles (deg): 90.00 90.00 90.00
Fractional positions:
Pr 0.000 0.000 0.000
Dy 0.500 0.500 0.538
Bi 0.000 0.000 0.566
Bi 0.000 0.500 0.272
Bi 0.500 0.000 0.272
Bi 0.500 0.500 0.955
Au 0.000 0.500 0.756
Au 0.500 0.000 0.756

Most intense lines, 15° ≤ 2θ ≤ 90°, sorted by position:
2θ (°)  d_spacing  I (rel.)
32.66  2.742  100
36.14  2.485  12
38.58  2.334  7
38.74  2.324  37
54.02  1.698  16
55.95  1.644  13
62.81  1.479  5
66.31  1.410  27
68.44  1.371  8
83.11  1.162  8



Record 3
# DyYBi4Au2
Simulated X-ray powder pattern, Cu Ka. Input: a DFT-relaxed cell (GGA-PBE, OQMD).
Neutral-atom scattering factors, no anomalous dispersion.

Cell and atoms:
a b c (Å): 4.619 4.619 9.833
angles (deg): 90.00 90.00 90.00
Fractional positions:
Dy 0.000 0.000 0.000
Y 0.500 0.500 0.460
Bi 0.000 0.000 0.428
Bi 0.000 0.500 0.730
Bi 0.500 0.000 0.730
Bi 0.500 0.500 0.029
Au 0.000 0.500 0.228
Au 0.500 0.000 0.228

Most intense lines, 15° ≤ 2θ ≤ 90°, sorted by position:
2θ (°)  d_spacing  I (rel.)
27.22  3.276  5
32.92  2.721  100
36.55  2.458  13
38.99  2.310  42
46.21  1.965  6
54.51  1.684  21
56.33  1.633  13
63.51  1.465  6
66.81  1.400  27
69.05  1.360  8



Record 4
# Gd3BiAu9
Simulated X-ray powder pattern, Cu Ka. Input: a DFT-relaxed cell (GGA-PBE, OQMD).
Neutral-atom scattering factors, no anomalous dispersion.

Cell and atoms:
a b c (Å): 8.340 8.340 9.191
angles (deg): 90.00 90.00 120.00
Fractional positions:
Gd 0.036 0.326 0.250
Gd 0.290 0.964 0.250
Gd 0.326 0.290 0.750
Gd 0.674 0.710 0.250
Gd 0.710 0.036 0.750
Gd 0.964 0.674 0.750
Bi 0.000 0.000 0.000
Bi 0.000 0.000 0.500
Au 0.034 0.372 0.591
Au 0.034 0.372 0.909
Au 0.333 0.667 0.084
Au 0.333 0.667 0.416
Au 0.333 0.667 0.750
Au 0.338 0.966 0.591
Au 0.338 0.966 0.909
Au 0.372 0.338 0.091
Au 0.372 0.338 0.409
Au 0.628 0.662 0.591
Au 0.628 0.662 0.909
Au 0.662 0.034 0.091
Au 0.662 0.034 0.409
Au 0.667 0.333 0.250
Au 0.667 0.333 0.584
Au 0.667 0.333 0.916
Au 0.966 0.628 0.091
Au 0.966 0.628 0.409

Most intense lines, 15° ≤ 2θ ≤ 90°, sorted by position:
2θ (°)  d_spacing  I (rel.)
32.81  2.730  12
36.39  2.469  81
37.35  2.407  100
38.54  2.336  27
44.45  2.038  21
53.14  1.724  19
63.87  1.457  19
66.75  1.401  13
67.37  1.390  11
73.24  1.292  18



Record 5
# LaGdBi4Au2
Simulated X-ray powder pattern, Cu Ka. Input: a DFT-relaxed cell (GGA-PBE, OQMD).
Neutral-atom scattering factors, no anomalous dispersion.

Cell and atoms:
a b c (Å): 4.723 4.723 9.718
angles (deg): 90.00 90.00 90.00
Fractional positions:
La 0.000 0.000 0.000
Gd 0.500 0.500 0.534
Bi 0.000 0.000 0.569
Bi 0.000 0.500 0.271
Bi 0.500 0.000 0.271
Bi 0.500 0.500 0.949
Au 0.000 0.500 0.757
Au 0.500 0.000 0.757

Most intense lines, 15° ≤ 2θ ≤ 90°, sorted by position:
2θ (°)  d_spacing  I (rel.)
27.54  3.239  5
32.53  2.752  100
37.00  2.429  11
38.11  2.362  39
38.72  2.325  7
46.21  1.965  5
54.16  1.693  15
54.99  1.670  14
65.37  1.428  28
68.14  1.376  7



Record 6
# TbGdBi4Au2
Simulated X-ray powder pattern, Cu Ka. Input: a DFT-relaxed cell (GGA-PBE, OQMD).
Neutral-atom scattering factors, no anomalous dispersion.

Cell and atoms:
a b c (Å): 4.621 4.621 9.825
angles (deg): 90.00 90.00 90.00
Fractional positions:
Tb 0.000 0.000 0.000
Gd 0.500 0.500 0.465
Bi 0.000 0.000 0.429
Bi 0.000 0.500 0.733
Bi 0.500 0.000 0.733
Bi 0.500 0.500 0.034
Au 0.000 0.500 0.231
Au 0.500 0.000 0.231

Most intense lines, 15° ≤ 2θ ≤ 90°, sorted by position:
2θ (°)  d_spacing  I (rel.)
32.92  2.721  100
36.58  2.456  13
38.97  2.311  42
54.52  1.683  21
56.31  1.634  13
63.57  1.464  8
66.78  1.401  27
69.04  1.360  8
70.52  1.335  5
89.99  1.090  5



Record 7
# La2GeBiAu4
Simulated X-ray powder pattern, Cu Ka. Input: a DFT-relaxed cell (GGA-PBE, OQMD).
Neutral-atom scattering factors, no anomalous dispersion.

Cell and atoms:
a b c (Å): 4.811 4.811 9.785
angles (deg): 90.00 90.00 120.00
Fractional positions:
La 0.333 0.667 0.258
La 0.667 0.333 0.742
Ge 0.000 0.000 0.500
Bi 0.000 0.000 0.000
Au 0.333 0.667 0.586
Au 0.333 0.667 0.885
Au 0.667 0.333 0.115
Au 0.667 0.333 0.414

Most intense lines, 15° ≤ 2θ ≤ 90°, sorted by position:
2θ (°)  d_spacing  I (rel.)
21.33  4.166  14
23.20  3.833  18
28.13  3.172  21
34.94  2.568  100
37.39  2.405  97
42.87  2.109  19
52.10  1.756  32
61.02  1.519  13
65.86  1.418  32
67.44  1.389  17



Record 8
# Hf4BiAuN2
Simulated X-ray powder pattern, Cu Ka. Input: a DFT-relaxed cell (GGA-PBE, OQMD).
Neutral-atom scattering factors, no anomalous dispersion.

Cell and atoms:
a b c (Å): 3.312 3.312 14.141
angles (deg): 90.00 90.00 120.00
Fractional positions:
Hf 0.000 0.000 0.156
Hf 0.000 0.000 0.844
Hf 0.667 0.333 0.327
Hf 0.667 0.333 0.673
Bi 0.000 0.000 0.500
Au 0.667 0.333 0.000
N 0.333 0.667 0.239
N 0.333 0.667 0.761

Most intense lines, 15° ≤ 2θ ≤ 90°, sorted by position:
2θ (°)  d_spacing  I (rel.)
31.19  2.868  23
36.68  2.450  100
38.18  2.357  18
50.10  1.821  14
55.49  1.656  22
65.04  1.434  3
68.03  1.378  15
68.38  1.372  17
69.36  1.355  19
77.99  1.225  4



Record 9
# HgBiPdAu
Simulated X-ray powder pattern, Cu Ka. Input: a DFT-relaxed cell (GGA-PBE, OQMD).
Neutral-atom scattering factors, no anomalous dispersion.

Cell and atoms:
a b c (Å): 4.932 4.932 4.932
angles (deg): 60.00 60.00 60.00
Fractional positions:
Hg 0.000 0.000 0.000
Bi 0.500 0.500 0.500
Pd 0.750 0.750 0.750
Au 0.250 0.250 0.250

Most intense lines, 15° ≤ 2θ ≤ 90°, sorted by position:
2θ (°)  d_spacing  I (rel.)
22.08  4.027  3
25.54  3.487  2
36.44  2.466  100
43.01  2.103  2
52.48  1.744  18
57.61  1.600  1
59.25  1.560  1
65.57  1.424  37
77.41  1.233  12
88.71  1.103  17



Record 10
# NdHoBi4Au2
Simulated X-ray powder pattern, Cu Ka. Input: a DFT-relaxed cell (GGA-PBE, OQMD).
Neutral-atom scattering factors, no anomalous dispersion.

Cell and atoms:
a b c (Å): 4.639 4.639 9.952
angles (deg): 90.00 90.00 90.00
Fractional positions:
Nd 0.000 0.000 0.000
Ho 0.500 0.500 0.539
Bi 0.000 0.000 0.564
Bi 0.000 0.500 0.271
Bi 0.500 0.000 0.271
Bi 0.500 0.500 0.958
Au 0.000 0.500 0.757
Au 0.500 0.000 0.757

Most intense lines, 15° ≤ 2θ ≤ 90°, sorted by position:
2θ (°)  d_spacing  I (rel.)
32.70  2.739  100
36.10  2.488  13
38.60  2.332  7
38.83  2.319  36
53.88  1.702  5
54.05  1.697  16
56.07  1.640  13
62.78  1.480  5
66.44  1.407  27
68.52  1.369  8



Record 11
# Li4InBiAu2
Simulated X-ray powder pattern, Cu Ka. Input: a DFT-relaxed cell (GGA-PBE, OQMD).
Neutral-atom scattering factors, no anomalous dispersion.

Cell and atoms:
a b c (Å): 4.609 4.609 6.793
angles (deg): 90.00 90.00 90.00
Fractional positions:
Li 0.000 0.000 0.000
Li 0.000 0.500 0.742
Li 0.500 0.000 0.258
Li 0.500 0.500 0.500
In 0.000 0.000 0.500
Bi 0.500 0.500 0.000
Au 0.000 0.500 0.272
Au 0.500 0.000 0.728

Most intense lines, 15° ≤ 2θ ≤ 90°, sorted by position:
2θ (°)  d_spacing  I (rel.)
23.32  3.814  100
38.27  2.352  61
39.08  2.305  30
44.58  2.032  17
46.01  1.973  34
56.46  1.630  10
60.76  1.524  14
68.65  1.367  10
70.27  1.339  21
75.70  1.256  8



Record 12
# KRbBiAu
Simulated X-ray powder pattern, Cu Ka. Input: a DFT-relaxed cell (GGA-PBE, OQMD).
Neutral-atom scattering factors, no anomalous dispersion.

Cell and atoms:
a b c (Å): 7.031 6.830 6.830
angles (deg): 71.69 90.00 90.00
Fractional positions:
K 0.250 0.179 0.821
K 0.750 0.821 0.179
Rb 0.250 0.840 0.481
Rb 0.750 0.481 0.840
Bi 0.250 0.598 0.060
Bi 0.750 0.060 0.598
Au 0.000 0.338 0.338
Au 0.500 0.338 0.338

Most intense lines, 15° ≤ 2θ ≤ 90°, sorted by position:
2θ (°)  d_spacing  I (rel.)
16.01  5.536  100
18.62  4.766  59
26.60  3.351  29
28.89  3.090  57
29.53  3.025  89
33.95  2.640  69
34.60  2.592  31
37.75  2.383  58
47.59  1.911  32
61.28  1.513  25